# 1
The following is a simulated powder diffractogram of LiTl2PtCl6. It was derived from the PBE geometry in OQMD, using CuKα.
Intensities are scaled so that the largest is 100.

```
data_LiTl2PtCl6
_symmetry_space_group_name_H-M 'F m -3 m'
_symmetry_Int_Tables_number 225
_symmetry_space_group_name_Hall '-F 4 2 3'
_cell_length_a 9.900
_cell_length_b 9.900
_cell_length_c 9.900
_cell_angle_alpha 90.00
_cell_angle_beta 90.00
_cell_angle_gamma 90.00
loop_
_atom_site_label
_atom_site_fract_x
_atom_site_fract_y
_atom_site_fract_z
Li1 0.000 0.000 0.000
Tl1 0.250 0.250 0.250
Pt1 0.000 0.000 0.500
Cl1 0.000 0.000 0.256
```

Peak list (10 most intense, 15 to 90 degrees two-theta, in order of rising 2θ)
| d (Å) | 2θ (°) | I (rel.) | hkl |
| --- | --- | --- | --- |
| 5.716 | 15.50 | 30 | 1 1 1 |
| 3.500 | 25.45 | 100 | 2 2 0 |
| 2.985 | 29.93 | 17 | 3 1 1 |
| 2.858 | 31.30 | 26 | 2 2 2 |
| 2.475 | 36.30 | 48 | 4 0 0 |
| 2.021 | 44.85 | 46 | 4 2 2 |
| 1.750 | 52.27 | 33 | 4 4 0 |
| 1.565 | 59.01 | 21 | 6 2 0 |
| 1.323 | 71.29 | 24 | 6 4 2 |
| 1.107 | 88.29 | 15 | 8 4 0 |



# 2
The following is a simulated powder diffractogram of Li4IrOsO6. It was derived from the PBE geometry in OQMD, using CuKα.
Intensities are scaled so that the largest is 100.

```
data_Li4IrOsO6
_symmetry_space_group_name_H-M 'C 1 2 1'
_symmetry_Int_Tables_number 5
_cell_length_a 5.080
_cell_length_b 8.773
_cell_length_c 5.121
_cell_angle_alpha 90.00
_cell_angle_beta 109.43
_cell_angle_gamma 90.00
loop_
_symmetry_equiv_pos_as_xyz
'x,y,z'
'-x,y,-z'
'x+1/2,y+1/2,z'
'-x+1/2,y+1/2,-z'
loop_
_atom_site_label
_atom_site_fract_x
_atom_site_fract_y
_atom_site_fract_z
Li1 0.000 0.000 0.000
Li2 0.000 0.159 0.500
Li3 0.000 0.502 0.500
Li4 0.000 0.839 0.500
Ir1 0.000 0.666 0.000
Os1 0.000 0.333 0.000
O1 0.243 0.332 0.759
O2 0.243 0.496 0.244
O3 0.244 0.172 0.242
```

Peak list (10 most intense, 15 to 90 degrees two-theta, in order of rising 2θ)
| d (Å) | 2θ (°) | I (rel.) | hkl |
| --- | --- | --- | --- |
| 4.829 | 18.37 | 100 | 0 0 1 |
| 4.387 | 20.24 | 20 | 0 2 0 |
| 4.205 | 21.13 | 36 | 1 1 0 |
| 3.761 | 23.65 | 27 | 1 1 -1 |
| 3.247 | 27.47 | 19 | 0 2 1 |
| 2.498 | 35.95 | 55 | 1 3 0 |
| 2.394 | 37.57 | 33 | 2 0 0 |
| 2.082 | 43.47 | 20 | 2 0 -2 |
| 2.076 | 43.61 | 39 | 1 3 1 |
| 1.908 | 47.65 | 24 | 2 0 1 |



# 3
The following is a simulated powder diffractogram of Tm15S22. It was derived from the PBE geometry in OQMD, using CuKα.
Intensities are scaled so that the largest is 100.

```
data_Tm15S22
_symmetry_space_group_name_H-M 'C 1 2/m 1'
_symmetry_Int_Tables_number 12
_cell_length_a 38.541
_cell_length_b 3.845
_cell_length_c 11.161
_cell_angle_alpha 90.00
_cell_angle_beta 90.91
_cell_angle_gamma 90.00
loop_
_symmetry_equiv_pos_as_xyz
'x,y,z'
'-x,-y,-z'
'-x,y,-z'
'x,-y,z'
'x+1/2,y+1/2,z'
'-x+1/2,-y+1/2,-z'
'-x+1/2,y+1/2,-z'
'x+1/2,-y+1/2,z'
loop_
_atom_site_label
_atom_site_fract_x
_atom_site_fract_y
_atom_site_fract_z
Tm1 0.000 0.000 0.000
Tm2 0.040 0.500 0.729
Tm3 0.069 0.000 0.356
Tm4 0.105 0.000 0.011
Tm5 0.133 0.500 0.657
Tm6 0.157 0.500 0.306
Tm7 0.201 0.000 0.944
Tm8 0.234 0.500 0.646
S1 0.007 0.000 0.239
S2 0.049 0.500 0.970
S3 0.053 0.500 0.503
S4 0.090 0.000 0.754
S5 0.093 0.500 0.206
S6 0.134 0.000 0.462
S7 0.148 0.500 0.907
S8 0.167 0.000 0.149
S9 0.186 0.000 0.692
S10 0.220 0.500 0.407
S11 0.245 0.500 0.879
```

Peak list (10 most intense, 15 to 90 degrees two-theta, in order of rising 2θ)
| d (Å) | 2θ (°) | I (rel.) | hkl |
| --- | --- | --- | --- |
| 3.720 | 23.92 | 63 | 0 0 3 |
| 3.624 | 24.57 | 100 | 10 0 1 |
| 3.492 | 25.51 | 28 | 3 1 1 |
| 3.294 | 27.07 | 37 | 5 1 -1 |
| 3.195 | 27.93 | 39 | 10 0 -2 |
| 3.153 | 28.31 | 47 | 1 1 2 |
| 2.778 | 32.22 | 45 | 9 1 -1 |
| 2.589 | 34.64 | 44 | 11 1 0 |
| 2.114 | 42.78 | 35 | 11 1 3 |
| 1.922 | 47.29 | 32 | 0 2 0 |



Which formula does entry 3 have?
Tm15S22